The following is a theoretical powder diffractogram of CaLaVCrO6. It was derived from a cell relaxed with PBE+U, using copper Kα.
Neutral-atom scattering factors, no anomalous dispersion.

Structural model:
```
data_CaLaVCrO6
_chemical_formula_sum 'Ca2 La2 V2 Cr2 O12'
_cell_length_a 5.4553
_cell_length_b 5.5337
_cell_length_c 9.5158
_cell_angle_alpha 90.00
_cell_angle_beta 124.72
_cell_angle_gamma 90.00
_space_group_name_H-M_alt 'P 1 c 1'
_space_group_IT_number 7
_space_group_name_Hall 'P -2yc'
loop_
_atom_site_label
_atom_site_type_symbol
_atom_site_fract_x
_atom_site_fract_y
_atom_site_fract_z
Ca1 Ca 0.0000 0.2074 0.0000
La1 La 0.5151 0.2837 0.5008
V1 V 0.7585 0.2489 0.2493
Cr1 Cr 0.2600 0.2506 0.7507
O1 O 0.0808 0.2259 0.4979
O2 O 0.4285 0.2716 0.0019
O3 O 0.5196 0.0394 0.2864
O4 O 0.5970 0.4633 0.7958
O5 O 0.9291 0.0350 0.7070
O6 O 0.9994 0.4547 0.2102
```

Top 6 peaks for 10 to 90 degrees two-theta, by angle:
| Position (°2θ) | I_rel |
| --- | --- |
| 19.65 | 32 |
| 19.84 | 33 |
| 32.41 | 100 |
| 32.54 | 68 |
| 46.77 | 42 |
| 57.77 | 35 |